Computed XRD peak list of MoOs2Pb for Cu Kα, 1.54184 Å, from DFT lattice parameters and positions (GGA-PBE).

Structure:
Cell: 2.8682 3.9462 6.5128 Å, 90.00 101.78 90.00°
Space group Pm (No. 6)
Asymmetric unit:
Mo1 0.0000 0.0000 0.0000 x1
Os1 0.1777 0.0000 0.3878 x1
Os2 0.6039 0.5000 0.2249 x1
Pb1 0.3827 0.5000 0.7231 x1

Principal peaks in the range 2θ = 5–70°, most intense first:
d (Å), intensity, h k l
2.480, 100, 0 1 2
2.288, 58, 1 1 0
2.277, 39, 1 1 -1
1.973, 34, 0 2 0
1.921, 23, 1 0 2
2.025, 20, 1 1 -2
6.376, 19, 0 0 1
2.048, 18, 1 1 1
1.890, 17, 1 0 -3
3.188, 17, 0 0 2

=====

Computed XRD peak list of MoOsPb2Se for Cu Kα, 1.54184 Å, from DFT lattice parameters and positions (GGA-PBE).

Structure:
Cell: 11.7948 3.6266 5.6913 Å, 90.00 94.08 90.00°
Space group Cm (No. 8)
Asymmetric unit:
Mo1 0.0000 0.0000 0.0000 x2
Os1 0.4355 0.0000 0.7501 x2
Pb1 0.2307 0.0000 0.9299 x2
Pb2 0.2941 0.5000 0.3976 x2
Se1 0.0263 0.5000 0.3649 x2

Principal peaks in the range 2θ = 5–70°, most intense first:
d (Å), intensity, h k l
2.931, 100, 1 1 1
2.691, 35, 4 0 -1
1.974, 27, 5 1 0
1.814, 26, 0 2 0
1.990, 24, 3 1 -2
2.941, 23, 4 0 0
2.838, 22, 0 0 2
2.367, 21, 3 1 1
5.882, 20, 2 0 0
2.986, 18, 1 1 -1

=====

Computed XRD peak list of MoOsPb2Se for Cu Kα, 1.54184 Å, from DFT lattice parameters and positions (GGA-PBE).

Structure:
Cell: 12.2677 3.6945 5.4941 Å, 90.00 98.44 90.00°
Space group Cm (No. 8)
Asymmetric unit:
Mo1 0.0000 0.0000 0.0000 x2
Os1 0.3848 0.0000 0.0900 x2
Pb1 0.2281 0.5000 0.7823 x2
Pb2 0.4648 0.0000 0.5789 x2
Se1 0.1895 0.0000 0.2495 x2

Principal peaks in the range 2θ = 5–70°, most intense first:
d (Å), intensity, h k l
3.023, 100, 1 1 -1
2.347, 66, 3 1 1
2.728, 65, 3 1 0
1.982, 61, 5 1 -1
2.354, 58, 2 0 2
2.200, 47, 1 1 -2
3.034, 46, 4 0 0
2.628, 42, 2 0 -2
3.534, 39, 1 1 0
6.067, 33, 2 0 0

=====

Computed XRD peak list of Re2MoOs6 for Cu Kα, 1.54184 Å, from DFT lattice parameters and positions (GGA-PBE).

Structure:
Cell: 8.3475 8.4635 7.8244 Å, 90.00 90.00 90.00°
Space group Ibam (No. 72)
Asymmetric unit:
Re1 0.2182 0.0740 0.0000 x8
Mo1 0.0000 0.0000 0.2500 x4
Os1 0.0706 0.2062 0.5000 x8
Os2 0.1517 0.3491 0.1878 x16

Principal peaks in the range 2θ = 5–70°, most intense first:
d (Å), intensity, h k l
2.140, 100, 2 1 3
2.146, 99, 1 2 3
1.983, 92, 3 3 0
2.207, 78, 1 3 2
2.366, 75, 2 2 2
2.190, 60, 3 1 2
1.961, 53, 4 1 1
2.229, 53, 3 2 1
2.240, 36, 2 3 1
3.268, 32, 1 1 2

=====

Computed XRD peak list of Mo2OsRu6 for Cu Kα, 1.54184 Å, from DFT lattice parameters and positions (GGA-PBE).

Structure:
Cell: 5.4353 12.8959 7.5034 Å, 90.00 90.00 90.00°
Space group Imma (No. 74)
Asymmetric unit:
Mo1 0.0000 0.0833 0.2345 x8
Os1 0.0000 0.2500 0.7665 x4
Ru1 0.2410 0.0836 0.5846 x16
Ru2 0.2407 0.2500 0.4169 x8

Principal peaks in the range 2θ = 5–70°, most intense first:
d (Å), intensity, h k l
2.198, 100, 2 3 1
2.162, 65, 0 3 3
2.149, 33, 0 6 0
1.538, 21, 2 6 2
6.473, 12, 0 1 1
1.544, 10, 2 0 4
1.359, 7, 4 0 0
2.507, 5, 1 3 2
1.692, 4, 2 3 3
2.718, 4, 2 0 0

=====

Computed XRD peak list of Mo2Os4Ru5 for Cu Kα, 1.54184 Å, from DFT lattice parameters and positions (GGA-PBE).

Structure:
Cell: 14.1987 2.7263 8.2330 Å, 90.00 93.58 90.00°
Space group C2/m (No. 12)
Asymmetric unit:
Mo1 0.0933 0.0000 0.4539 x4
Os1 0.0473 0.5000 0.7338 x4
Os2 0.1826 0.0000 0.9044 x4
Ru1 0.0000 0.0000 0.0000 x2
Ru2 0.1349 0.5000 0.1811 x4
Ru3 0.2298 0.5000 0.6447 x4

Principal peaks in the range 2θ = 5–70°, most intense first:
d (Å), intensity, h k l
2.233, 100, 1 1 2
1.930, 32, 5 1 -1
1.369, 21, 3 1 -5
1.941, 16, 2 0 4
5.540, 7, 2 0 -1
8.217, 5, 0 0 1
1.363, 5, 0 2 0
1.366, 5, 10 0 -2
3.655, 3, 2 0 -2
2.361, 2, 3 1 0

=====

Computed XRD peak list of MoOs4Ru for Cu Kα, 1.54184 Å, from DFT lattice parameters and positions (GGA-PBE).

Structure:
Cell: 7.0608 4.7889 5.1595 Å, 90.00 96.14 90.00°
Space group P2/c (No. 13)
Asymmetric unit:
Mo1 0.0000 0.0850 0.2500 x2
Os1 0.1688 0.4200 0.9142 x4
Os2 0.3342 0.0870 0.5850 x4
Ru1 0.5000 0.4186 0.2500 x2

Principal peaks in the range 2θ = 5–70°, most intense first:
d (Å), intensity, h k l
2.101, 100, 3 1 0
2.095, 50, 1 1 2
2.185, 37, 2 0 -2
2.393, 37, 2 1 1
1.382, 26, 4 0 2
3.956, 8, 1 1 0
1.617, 7, 4 1 -1
1.610, 7, 0 1 3
1.614, 7, 2 2 -2
3.507, 7, 2 0 0

=====

Computed XRD peak list of MoOsS3 for Cu Kα, 1.54184 Å, from DFT lattice parameters and positions (GGA-PBE).

Structure:
Cell: 4.6050 4.6050 4.6050 Å, 90.00 90.00 90.00°
Space group Pm-3m (No. 221)
Asymmetric unit:
Mo1 0.0000 0.0000 0.0000 x1
Os1 0.5000 0.5000 0.5000 x1
S1 0.0000 0.5000 0.5000 x3

Principal peaks in the range 2θ = 5–70°, most intense first:
d (Å), intensity, h k l
3.256, 100, 1 1 0
2.302, 45, 2 0 0
1.880, 43, 2 1 1
1.628, 30, 2 2 0
4.605, 28, 1 0 0
1.456, 19, 3 1 0
2.059, 13, 2 1 0
1.535, 7, 3 0 0

=====

Computed XRD peak list of Mo2OsSe5 for Cu Kα, 1.54184 Å, from DFT lattice parameters and positions (GGA-PBE).

Structure:
Cell: 12.1802 7.1740 5.5745 Å, 90.00 117.22 90.00°
Space group Cm (No. 8)
Asymmetric unit:
Mo1 0.0000 0.0000 0.0000 x2
Mo2 0.1169 0.5000 0.5909 x2
Os1 0.1278 0.5000 0.1014 x2
Se1 0.1507 0.2212 0.3712 x4
Se2 0.3092 0.5000 0.0128 x2
Se3 0.4804 0.2150 0.7307 x4

Principal peaks in the range 2θ = 5–70°, most intense first:
d (Å), intensity, h k l
5.981, 100, 1 1 0
5.416, 81, 2 0 0
2.039, 56, 0 2 2
2.109, 48, 5 1 -2
3.030, 42, 4 0 -1
2.201, 41, 2 2 -2
4.956, 41, 2 0 -1
2.906, 38, 0 2 1
1.707, 21, 5 3 -1
4.402, 19, 1 1 -1

=====

Computed XRD peak list of SrMo2Os for Cu Kα, 1.54184 Å, from DFT lattice parameters and positions (GGA-PBE).

Structure:
Cell: 2.9308 4.1889 6.8903 Å, 90.00 101.59 90.00°
Space group Pm (No. 6)
Asymmetric unit:
Sr1 0.0000 0.0000 0.0000 x1
Mo1 0.5978 0.5000 0.3390 x1
Mo2 0.9746 0.0000 0.5188 x1
Os1 0.4160 0.5000 0.6808 x1

Principal peaks in the range 2θ = 5–70°, most intense first:
d (Å), intensity, h k l
6.750, 100, 0 0 1
2.368, 97, 1 1 0
2.628, 86, 0 1 2
2.442, 56, 1 0 -2
2.094, 40, 0 2 0
3.559, 31, 0 1 1
1.590, 29, 1 2 -2
1.982, 27, 0 1 3
2.127, 26, 1 1 1
1.352, 19, 2 1 -2

=====

Computed XRD peak list of Ta3Mo2Os2 for Cu Kα, 1.54184 Å, from DFT lattice parameters and positions (GGA-PBE).

Structure:
Cell: 4.5063 4.5130 6.9791 Å, 90.04 108.79 119.87°
Space group P-1 (No. 2)
Asymmetric unit:
Ta1 0.0000 0.0000 0.0000 x1
Ta2 0.1415 0.5707 0.7122 x2
Mo1 0.4306 0.7150 0.1469 x2
Os1 0.2758 0.1372 0.4160 x2

Principal peaks in the range 2θ = 5–70°, most intense first:
d (Å), intensity, h k l
2.263, 100, 1 0 -3
2.258, 67, 1 1 -1
2.253, 33, -2 1 1
1.599, 23, 0 2 -3
1.596, 11, -2 2 3
3.626, 7, 1 0 0
6.478, 4, 0 0 1
3.045, 3, 0 1 1
1.560, 3, 1 1 2
2.159, 1, 0 0 3

=====

Computed XRD peak list of TaMoOs for Cu Kα, 1.54184 Å, from DFT lattice parameters and positions (GGA-PBE).

Structure:
Cell: 10.0496 3.1866 3.1870 Å, 90.00 108.36 90.00°
Space group Cm (No. 8)
Asymmetric unit:
Ta1 0.0000 0.0000 0.0000 x2
Mo1 0.3356 0.0000 0.3345 x2
Os1 0.1645 0.5000 0.6654 x2

Principal peaks in the range 2θ = 5–70°, most intense first:
d (Å), intensity, h k l
2.252, 100, 3 1 0
1.593, 11, 0 2 0
1.590, 6, 6 0 0
3.023, 5, 0 0 1
4.769, 4, 2 0 0
2.037, 2, 3 1 -1
1.638, 2, 5 1 0
1.410, 1, 1 1 -2
1.511, 1, 4 0 -2
2.384, 1, 4 0 0